1.
Diffraction record for CeTlZn2Cl8. The powder X-ray diffraction pattern is calculated, not measured: it uses a cell relaxed with PBE and a wavelength of 1.5418 Å.
Lines closer than 0.1° are merged.

Crystal structure
```
CeTlZn2Cl8
1.0
3.258 1.881 9.737
-3.258 1.881 9.737
0.000 -3.762 9.737
Ce Tl Zn Cl
1 1 2 8
direct
0.000 0.000 0.000
0.500 0.500 0.500
0.247 0.247 0.247
0.753 0.753 0.753
0.060 0.398 0.712
0.172 0.172 0.172
0.288 0.940 0.602
0.398 0.712 0.060
0.602 0.288 0.940
0.712 0.060 0.398
0.828 0.828 0.828
0.940 0.602 0.288
```

Peak list (10 most intense, 2θ = 10–80°, in order of falling intensity)
- 19.88°, I 100
- 27.38°, I 46
- 46.58°, I 39
- 29.13°, I 37
- 33.09°, I 37
- 34.07°, I 28
- 48.39°, I 27
- 44.24°, I 26
- 28.90°, I 26
- 49.50°, I 17



2.
Diffraction record for CeYCl5. The powder X-ray diffraction pattern is calculated, not measured: it uses a cell relaxed with PBE and a wavelength of 1.5418 Å.
Lines closer than 0.1° are merged.

Crystal structure
```
CeYCl5
1.0
7.436 0.000 0.000
0.000 3.970 0.000
-0.087 0.000 12.766
Ce Y Cl
2 2 10
direct
0.064 0.250 0.336
0.936 0.750 0.664
0.424 0.750 0.154
0.576 0.250 0.846
0.055 0.750 0.172
0.156 0.250 0.567
0.319 0.250 0.015
0.346 0.750 0.364
0.347 0.750 0.782
0.653 0.250 0.218
0.654 0.250 0.636
0.681 0.750 0.985
0.844 0.750 0.433
0.945 0.250 0.828
```

Peak list (10 most intense, 2θ = 10–80°, in order of falling intensity)
- 13.82°, I 100
- 26.40°, I 64
- 36.06°, I 61
- 33.02°, I 34
- 43.65°, I 33
- 24.00°, I 30
- 29.05°, I 22
- 13.87°, I 22
- 45.71°, I 19
- 36.93°, I 19



3.
Diffraction record for CeCoCu3. The powder X-ray diffraction pattern is calculated, not measured: it uses a cell relaxed with PBE and a wavelength of 1.5418 Å.
Lines closer than 0.1° are merged.

Crystal structure
```
CeCoCu3
1.0
4.579 0.000 0.000
0.000 5.833 0.000
-2.247 0.000 5.761
Ce Co Cu
2 2 6
direct
0.164 0.250 0.165
0.836 0.750 0.835
0.339 0.750 0.001
0.661 0.250 0.999
0.258 0.041 0.672
0.258 0.459 0.672
0.269 0.750 0.383
0.731 0.250 0.617
0.742 0.541 0.328
0.742 0.959 0.328
```

Peak list (10 most intense, 2θ = 10–80°, in order of falling intensity)
- 37.41°, I 100
- 34.73°, I 84
- 34.23°, I 66
- 43.61°, I 57
- 42.38°, I 52
- 43.82°, I 37
- 34.47°, I 34
- 45.26°, I 30
- 30.65°, I 27
- 46.93°, I 26



4.
Diffraction record for CeDy3Co. The powder X-ray diffraction pattern is calculated, not measured: it uses a cell relaxed with PBE and a wavelength of 1.5418 Å.
Lines closer than 0.1° are merged.

Crystal structure
```
CeDy3Co
1.0
5.279 0.000 0.000
0.000 5.279 0.000
0.000 0.000 5.279
Ce Dy Co
1 3 1
direct
0.000 0.000 0.000
0.000 0.500 0.500
0.500 0.000 0.500
0.500 0.500 0.000
0.500 0.500 0.500
```

Peak list (10 most intense, 2θ = 10–80°, in order of falling intensity)
- 29.30°, I 100
- 33.96°, I 76
- 48.79°, I 55
- 57.94°, I 45
- 60.78°, I 19
- 79.07°, I 18
- 71.48°, I 9
- 16.79°, I 7
- 38.12°, I 3
- 51.96°, I 2



5.
Diffraction record for CeDyY2Co2. The powder X-ray diffraction pattern is calculated, not measured: it uses a cell relaxed with PBE and a wavelength of 1.5418 Å.
Lines closer than 0.1° are merged.

Crystal structure
```
CeDyY2Co2
1.0
-3.421 6.398 3.307
3.421 -6.398 3.307
3.421 6.398 -3.307
Ce Dy Y Co
2 2 4 4
direct
0.250 0.250 0.000
0.750 0.750 0.000
0.250 0.750 0.500
0.750 0.250 0.500
0.203 0.185 0.388
0.297 0.685 0.983
0.703 0.315 0.017
0.797 0.815 0.612
0.097 0.791 0.888
0.403 0.291 0.695
0.597 0.709 0.305
0.903 0.209 0.112
```

Peak list (10 most intense, 2θ = 10–80°, in order of falling intensity)
- 30.43°, I 100
- 37.84°, I 95
- 29.61°, I 87
- 13.84°, I 71
- 33.77°, I 50
- 38.53°, I 36
- 39.18°, I 32
- 55.60°, I 32
- 40.48°, I 31
- 64.26°, I 29



6.
Diffraction record for Ce3Er2Co2. The powder X-ray diffraction pattern is calculated, not measured: it uses a cell relaxed with PBE and a wavelength of 1.5418 Å.
Lines closer than 0.1° are merged.

Crystal structure
```
Ce3Er2Co2
1.0
11.198 0.000 0.000
0.000 3.606 0.000
-2.977 0.000 8.041
Ce Er Co
6 4 4
direct
0.000 0.000 0.000
0.120 0.000 0.432
0.380 0.500 0.568
0.500 0.500 0.000
0.620 0.500 0.432
0.880 0.000 0.568
0.168 0.500 0.803
0.332 0.000 0.197
0.668 0.000 0.803
0.832 0.500 0.197
0.124 0.500 0.209
0.376 0.000 0.791
0.624 0.000 0.209
0.876 0.500 0.791
```

Peak list (10 most intense, 2θ = 10–80°, in order of falling intensity)
- 32.43°, I 100
- 31.78°, I 48
- 37.18°, I 47
- 29.58°, I 47
- 31.98°, I 47
- 36.42°, I 43
- 34.66°, I 37
- 50.63°, I 28
- 35.75°, I 27
- 57.28°, I 27